[1]
Nd3MoO7: calculated powder diffraction line list (CuKα), based on DFT lattice parameters and positions (GGA+U).

Crystal structure
```
data_Nd3MoO7
_chemical_formula_sum 'Nd12 Mo4 O28'
_space_group_name_H-M_alt 'P 21 21 21'
_space_group_IT_number 19
_space_group_name_Hall 'P 2ac 2ab'
_cell_length_a 7.6521
_cell_length_b 7.7477
_cell_length_c 10.9675
_cell_angle_alpha 90.00
_cell_angle_beta 90.00
_cell_angle_gamma 90.00
loop_
_atom_site_label
_atom_site_fract_x
_atom_site_fract_y
_atom_site_fract_z
Nd1 0.0004 0.0425 0.2267
Nd2 0.0006 0.0434 0.7727
Nd3 0.2386 0.7062 0.0004
Mo1 0.2463 0.7515 0.4999
O1 0.0034 0.1854 0.9994
O2 0.0044 0.2717 0.6328
O3 0.0056 0.2700 0.3673
O4 0.2114 0.9095 0.3644
O5 0.2122 0.9131 0.6336
O6 0.2178 0.4483 0.1234
O7 0.2179 0.4497 0.8772
```

Peak list (10 most intense, 10 to 90 degrees two-theta, by intensity)
Position (°2θ)  I/Imax  hkl
28.45  1000  2 0 2
28.20  896  0 2 2
47.04  457  2 2 4
32.90  403  2 2 0
56.19  248  4 2 2
32.66  223  0 0 4
55.75  208  2 0 6
47.53  178  4 0 0
51.44  111  1 4 2
25.78  108  1 2 0

---

[2]
Nd2Mo3O12: calculated powder diffraction line list (CuKα), based on DFT lattice parameters and positions (GGA+U).

Crystal structure
```
data_Nd2Mo3O12
_chemical_formula_sum 'Nd8 Mo12 O48'
_space_group_name_H-M_alt 'C 1 2/c 1'
_space_group_IT_number 15
_space_group_name_Hall '-C 2yc'
_cell_length_a 7.5678
_cell_length_b 11.9636
_cell_length_c 11.9889
_cell_angle_alpha 90.00
_cell_angle_beta 108.09
_cell_angle_gamma 90.00
loop_
_atom_site_label
_atom_site_fract_x
_atom_site_fract_y
_atom_site_fract_z
Nd1 0.1697 0.1234 0.0882
Mo1 0.0000 0.1241 0.7500
Mo2 0.1679 0.3679 0.5749
O1 0.0219 0.4431 0.9026
O2 0.0626 0.2696 0.4599
O3 0.1260 0.2023 0.8834
O4 0.1540 0.0440 0.4589
O5 0.1634 0.0363 0.7144
O6 0.2309 0.1979 0.2856
```

Peak list (10 most intense, 10 to 90 degrees two-theta, by intensity)
Position (°2θ)  I/Imax  hkl
27.86  1000  0 2 3
51.81  165  2 6 -1
45.36  149  2 4 2
14.38  147  1 1 0
45.50  145  2 4 -4
29.87  143  0 4 0
16.74  112  0 2 1
33.33  94  2 0 2
33.52  91  2 0 -4
56.21  79  2 2 5

---

[3]
Nd3MoO7: calculated powder diffraction line list (CuKα), based on DFT lattice parameters and positions (GGA+U).

Crystal structure
```
data_Nd3MoO7
_chemical_formula_sum 'Nd12 Mo4 O28'
_space_group_name_H-M_alt 'C 2 2 21'
_space_group_IT_number 20
_space_group_name_Hall 'C 2c 2'
_cell_length_a 7.7873
_cell_length_b 10.8749
_cell_length_c 7.7119
_cell_angle_alpha 90.00
_cell_angle_beta 90.00
_cell_angle_gamma 90.00
loop_
_atom_site_label
_atom_site_fract_x
_atom_site_fract_y
_atom_site_fract_z
Nd1 0.0300 0.0000 0.0000
Nd2 0.2319 0.2689 0.7564
Mo1 0.0006 0.5000 0.0000
O1 0.0000 0.1304 0.2500
O2 0.0000 0.1358 0.7500
O3 0.0000 0.4334 0.7500
O4 0.1793 0.3764 0.0359
O5 0.1995 0.3802 0.4758
```

Peak list (10 most intense, 10 to 90 degrees two-theta, by intensity)
Position (°2θ)  I/Imax  hkl
28.38  1000  0 2 2
28.19  998  2 2 0
47.10  740  0 0 4
32.68  447  2 0 2
55.83  286  2 2 4
55.51  228  4 2 2
32.95  199  0 4 0
76.11  169  0 2 6
46.66  124  4 0 0
56.07  115  0 6 2

---

[4]
Nd3MoO6: calculated powder diffraction line list (CuKα), based on DFT lattice parameters and positions (GGA+U).

Crystal structure
```
data_Nd3MoO6
_chemical_formula_sum 'Nd18 Mo6 O36'
_space_group_name_H-M_alt 'R -3'
_space_group_IT_number 148
_space_group_name_Hall '-R 3'
_cell_length_a 9.9383
_cell_length_b 9.9383
_cell_length_c 11.3418
_cell_angle_alpha 90.00
_cell_angle_beta 90.00
_cell_angle_gamma 120.00
loop_
_atom_site_label
_atom_site_fract_x
_atom_site_fract_y
_atom_site_fract_z
Nd1 0.0406 0.2663 0.2045
Mo1 0.0000 0.0000 0.0000
Mo2 0.0000 0.0000 0.5000
O1 0.0278 0.1845 0.8814
O2 0.0290 0.2091 0.4054
```

Peak list (10 most intense, 10 to 90 degrees two-theta, by intensity)
Position (°2θ)  I/Imax  hkl
28.55  1000  2 1 1
31.71  629  3 -2 2
23.53  394  0 0 3
29.69  390  1 1 3
42.28  330  2 1 4
48.47  308  1 4 0
59.13  220  0 4 5
25.99  209  2 0 2
41.02  197  3 1 2
51.74  188  2 -1 6

---

[5]
Nd2Mo2O7: calculated powder diffraction line list (CuKα), based on DFT lattice parameters and positions (GGA+U).

Crystal structure
```
data_Nd2Mo2O7
_chemical_formula_sum 'Nd8 Mo8 O28'
_space_group_name_H-M_alt 'I 41/a'
_space_group_IT_number 88
_cell_length_a 7.5260
_cell_length_b 7.5260
_cell_length_c 10.6231
_cell_angle_alpha 90.00
_cell_angle_beta 90.00
_cell_angle_gamma 90.00
loop_
_space_group_symop_operation_xyz
'x,y,z'
'-x,-y,-z'
'-y+3/4,x+1/4,z+1/4'
'y+3/4,-x+1/4,-z+1/4'
'-x+1/2,-y,z+1/2'
'x+1/2,y,-z+1/2'
'y+3/4,-x+3/4,z+3/4'
'-y+3/4,x+3/4,-z+3/4'
'x+1/2,y+1/2,z+1/2'
'-x+1/2,-y+1/2,-z+1/2'
'-y+1/4,x+3/4,z+3/4'
'y+1/4,-x+3/4,-z+3/4'
'-x,-y+1/2,z'
'x,y+1/2,-z'
'y+1/4,-x+1/4,z+1/4'
'-y+1/4,x+1/4,-z+1/4'
loop_
_atom_site_label
_atom_site_fract_x
_atom_site_fract_y
_atom_site_fract_z
Nd1 0.0000 0.0000 0.0000
Mo1 0.0000 0.0000 0.5000
O1 0.0000 0.2500 0.1250
O2 0.0000 0.2500 0.4171
O3 0.2073 0.0394 0.6318
```

Peak list (10 most intense, 10 to 90 degrees two-theta, by intensity)
Position (°2θ)  I/Imax  hkl
29.08  1000  2 0 2
48.41  480  4 0 0
57.47  429  2 4 2
33.71  317  0 0 4
78.37  174  4 2 6
60.28  98  4 0 4
80.78  93  6 2 0
36.83  49  2 1 3
80.91  47  2 2 8
70.82  46  4 4 0

---

[6]
NdPaMoO6: calculated powder diffraction line list (CuKα), based on DFT lattice parameters and positions (GGA+U).

Crystal structure
```
data_NdPaMoO6
_chemical_formula_sum 'Nd1 Pa1 Mo1 O6'
_space_group_name_H-M_alt 'P 3 1 2'
_space_group_IT_number 149
_space_group_name_Hall 'P 3 2'
_cell_length_a 5.5938
_cell_length_b 5.5938
_cell_length_c 4.8559
_cell_angle_alpha 90.00
_cell_angle_beta 90.00
_cell_angle_gamma 120.00
loop_
_atom_site_label
_atom_site_fract_x
_atom_site_fract_y
_atom_site_fract_z
Nd1 0.0000 0.0000 0.0000
Pa1 0.6667 0.3333 0.5000
Mo1 0.3333 0.6667 0.0000
O1 0.0108 0.3714 0.2420
```

Peak list (10 most intense, 10 to 90 degrees two-theta, by intensity)
Position (°2θ)  I/Imax  hkl
25.98  1000  1 0 1
32.00  425  1 1 0
49.73  389  2 -1 2
41.66  322  2 0 1
53.48  299  2 1 1
69.94  148  3 0 2
57.03  137  3 0 0
37.06  119  0 0 2
73.07  113  4 -1 1
78.93  110  0 0 4

---

[7]
NdMo2PbO8: calculated powder diffraction line list (CuKα), based on DFT lattice parameters and positions (GGA+U).

Crystal structure
```
data_NdMo2PbO8
_chemical_formula_sum 'Nd1 Mo2 Pb1 O8'
_space_group_name_H-M_alt 'P -3 m 1'
_space_group_IT_number 164
_space_group_name_Hall '-P 3 2"'
_cell_length_a 6.1027
_cell_length_b 6.1027
_cell_length_c 7.2134
_cell_angle_alpha 90.00
_cell_angle_beta 90.00
_cell_angle_gamma 120.00
loop_
_atom_site_label
_atom_site_fract_x
_atom_site_fract_y
_atom_site_fract_z
Nd1 0.0000 0.0000 0.0000
Mo1 0.3333 0.6667 0.2961
Pb1 0.0000 0.0000 0.5000
O1 0.1663 0.3326 0.2196
O2 0.3333 0.6667 0.5403
```

Peak list (10 most intense, 10 to 90 degrees two-theta, by intensity)
Position (°2θ)  I/Imax  hkl
29.99  1000  1 0 2
29.27  967  1 1 0
16.78  748  1 0 0
42.40  536  0 2 2
20.84  534  1 0 1
52.36  439  2 1 2
51.90  195  3 0 0
69.18  195  1 3 2
38.65  185  1 1 2
60.70  173  2 2 0

---

[8]
Rb3Nd3MoO8: calculated powder diffraction line list (CuKα), based on DFT lattice parameters and positions (GGA+U).

Crystal structure
```
data_Rb3Nd3MoO8
_chemical_formula_sum 'Rb6 Nd6 Mo2 O16'
_space_group_name_H-M_alt 'C 1 2/m 1'
_space_group_IT_number 12
_space_group_name_Hall '-C 2y'
_cell_length_a 12.2650
_cell_length_b 7.1292
_cell_length_c 7.7968
_cell_angle_alpha 90.00
_cell_angle_beta 121.75
_cell_angle_gamma 90.00
loop_
_atom_site_label
_atom_site_fract_x
_atom_site_fract_y
_atom_site_fract_z
Rb1 0.0000 0.0000 0.0000
Rb2 0.2500 0.2500 0.0000
Nd1 0.0000 0.5000 0.5000
Nd2 0.2500 0.2500 0.5000
Mo1 0.0000 0.0000 0.5000
O1 0.0198 0.2268 0.3343
O2 0.2026 0.0000 0.6648
O3 0.2273 0.5000 0.6793
```

Peak list (10 most intense, 10 to 90 degrees two-theta, by intensity)
Position (°2θ)  I/Imax  hkl
34.21  1000  2 2 -2
30.37  762  2 2 0
13.35  715  0 0 1
26.89  608  0 0 2
46.99  506  4 0 -4
34.39  490  4 0 0
30.49  378  4 0 -2
51.54  308  6 2 -2
54.91  206  2 2 -4
16.94  172  1 1 -1

---

[9]
NdSbMo2O9: calculated powder diffraction line list (CuKα), based on DFT lattice parameters and positions (GGA+U).

Crystal structure
```
data_NdSbMo2O9
_chemical_formula_sum 'Nd8 Sb8 Mo16 O72'
_space_group_name_H-M_alt 'C 1 2/c 1'
_space_group_IT_number 15
_space_group_name_Hall '-C 2yc'
_cell_length_a 13.2697
_cell_length_b 14.7171
_cell_length_c 11.0693
_cell_angle_alpha 90.00
_cell_angle_beta 123.41
_cell_angle_gamma 90.00
loop_
_atom_site_label
_atom_site_fract_x
_atom_site_fract_y
_atom_site_fract_z
Nd1 0.0000 0.1242 0.2500
Nd2 0.0000 0.3257 0.7500
Sb1 0.1347 0.4884 0.5386
Mo1 0.1540 0.1048 0.0250
Mo2 0.2478 0.1879 0.6948
O1 0.0176 0.4417 0.5978
O2 0.0821 0.0154 0.8991
O3 0.0859 0.2099 0.9361
O4 0.1210 0.2599 0.2778
O5 0.1368 0.0871 0.1732
O6 0.1460 0.1616 0.5089
O7 0.1765 0.2652 0.7491
O8 0.1882 0.4072 0.9244
O9 0.2061 0.4191 0.1994
```

Peak list (10 most intense, 10 to 90 degrees two-theta, by intensity)
Position (°2θ)  I/Imax  hkl
26.92  1000  4 0 -2
25.87  958  2 2 1
22.73  902  0 2 2
24.38  809  1 3 -2
27.03  682  2 2 -3
27.76  630  2 4 -1
47.04  408  1 5 -4
46.01  369  1 7 1
31.44  361  1 5 0
46.18  355  6 2 -1

---

[10]
NdSmMo2O8: calculated powder diffraction line list (CuKα), based on DFT lattice parameters and positions (GGA+U).

Crystal structure
```
data_NdSmMo2O8
_chemical_formula_sum 'Nd2 Sm2 Mo4 O16'
_space_group_name_H-M_alt 'I -4'
_space_group_IT_number 82
_space_group_name_Hall 'I -4'
_cell_length_a 5.3588
_cell_length_b 5.3588
_cell_length_c 11.5023
_cell_angle_alpha 90.00
_cell_angle_beta 90.00
_cell_angle_gamma 90.00
loop_
_atom_site_label
_atom_site_fract_x
_atom_site_fract_y
_atom_site_fract_z
Nd1 0.0000 0.0000 0.0000
Sm1 0.0000 0.5000 0.7500
Mo1 0.0000 0.0000 0.5000
Mo2 0.0000 0.5000 0.2500
O1 0.1624 0.2564 0.5826
O2 0.1673 0.7551 0.1687
```

Peak list (10 most intense, 10 to 90 degrees two-theta, by intensity)
Position (°2θ)  I/Imax  hkl
28.20  1000  1 1 2
46.32  300  2 0 4
56.62  282  1 3 2
33.44  203  2 0 0
53.57  166  1 1 6
31.10  147  0 0 4
48.02  143  2 2 0
74.77  121  3 1 6
58.32  115  2 2 4
88.37  82  2 4 4